Li2TbPr2Sb2: simulated XRD peak list (Cu Ka), based on the GGA-PBE geometry in Alexandria.
Intensities are scaled so that the largest is 100.

Main lines, by angle (5° ≤ 2θ ≤ 70°):
21.8°, 4.085 Å, rel. 77; 31.2°, 2.862 Å, rel. 100; 33.7°, 2.659 Å, rel. 84; 37.7°, 2.385 Å, rel. 90; 49.8°, 1.832 Å, rel. 27; 51.5°, 1.775 Å, rel. 25; 63.6°, 1.463 Å, rel. 33; 64.1°, 1.453 Å, rel. 25; 65.6°, 1.424 Å, rel. 24; 68.1°, 1.377 Å, rel. 16

Structural model:
abc: 9.6646 9.6646 9.6646
angles: 28.57 28.57 28.57
Sites, in units of the cell vectors:
Li1 0.1019 0.1019 0.1019
Li2 0.8981 0.8981 0.8981
Tb1 0.5000 0.5000 0.5000
Pr1 0.3723 0.3723 0.3723
Pr2 0.6277 0.6277 0.6277
Sb1 0.2303 0.2303 0.2303
Sb2 0.7697 0.7697 0.7697